Entry 1:
The following is a calculated powder XRD pattern of TmTlSnCl6. It was derived from the GGA-PBE geometry in Alexandria, using λ = 1.5418 Å (Cu Kα).

The 10 most intense peaks (10 to 90 degrees two-theta), in order of rising 2θ:
| 2theta | intensity | index |
| --- | --- | --- |
| 19.20 | 1000 | 1 0 1 |
| 24.69 | 324 | 1 1 0 |
| 31.46 | 270 | 2 0 1 |
| 36.09 | 573 | 2 -1 2 |
| 40.40 | 307 | 3 -1 1 |
| 41.99 | 122 | 1 0 3 |
| 43.47 | 215 | 3 0 0 |
| 54.64 | 137 | 3 1 1 |
| 55.91 | 123 | 2 1 3 |
| 57.74 | 137 | 2 2 2 |

abc: 7.2123 7.2123 6.8763
angles: 90.00 90.00 120.00
Space group P312 (No. 149)
Symmetry-distinct sites (fractional):
1 Tm 0.0000 0.0000 0.0000
2 Tl 0.3333 0.6667 0.5000
3 Sn 0.6667 0.3333 0.0000
4 Cl 0.3082 0.0218 0.2187

---

Entry 2:
The following is a calculated powder XRD pattern of La12DyEr7. It was derived from the GGA-PBE geometry in Alexandria, using λ = 1.5418 Å (Cu Kα).

The 10 most intense peaks (10 to 90 degrees two-theta), in order of rising 2θ:
| 2theta | intensity | index |
| --- | --- | --- |
| 28.41 | 209 | 0 2 4 |
| 30.07 | 276 | 0 1 5 |
| 30.32 | 280 | 0 3 3 |
| 30.44 | 1000 | 4 -3 1 |
| 31.91 | 446 | 3 -1 4 |
| 32.08 | 686 | 3 1 2 |
| 33.41 | 161 | 2 0 5 |
| 37.79 | 152 | 2 -1 6 |
| 53.01 | 260 | 2 5 0 |
| 56.20 | 155 | 7 -6 1 |

abc: 12.4539 12.4539 15.4569
angles: 90.00 90.00 120.00
Space group R-3 (No. 148, hexagonal axes)
Symmetry-distinct sites (fractional):
1 La 0.0134 0.4396 0.2211
2 La 0.0665 0.5966 0.5778
3 Dy 0.0000 0.0000 0.5000
4 Er 0.0000 0.0000 0.0000
5 Er 0.0514 0.1836 0.3081

---

Entry 3:
The following is a calculated powder XRD pattern of Zr2TeP. It was derived from the GGA-PBE geometry in Alexandria, using λ = 1.5418 Å (Cu Kα).

The 10 most intense peaks (10 to 90 degrees two-theta), in order of rising 2θ:
| 2theta | intensity | index |
| --- | --- | --- |
| 26.74 | 217 | 1 0 1 |
| 31.92 | 1000 | 1 0 4 |
| 34.70 | 339 | 0 1 5 |
| 40.47 | 122 | 0 0 9 |
| 45.01 | 231 | 0 1 8 |
| 46.52 | 397 | 1 1 0 |
| 57.53 | 178 | 0 2 4 |
| 63.33 | 190 | 1 1 9 |
| 77.00 | 154 | 2 1 4 |
| 85.19 | 117 | 0 2 13 |

abc: 3.9043 3.9043 20.0583
angles: 90.00 90.00 120.00
Space group R-3m (No. 166, hexagonal axes)
Symmetry-distinct sites (fractional):
1 Zr 0.0000 0.0000 0.2292
2 Te 0.0000 0.0000 0.0000
3 P 0.0000 0.0000 0.5000

---

Entry 4:
The following is a calculated powder XRD pattern of LaMgAg. It was derived from the GGA-PBE geometry in Alexandria, using λ = 1.5418 Å (Cu Kα).

The 10 most intense peaks (10 to 90 degrees two-theta), in order of rising 2θ:
| 2theta | intensity | index |
| --- | --- | --- |
| 14.06 | 220 | 0 0 2 |
| 26.51 | 312 | 1 0 1 |
| 28.34 | 117 | 0 0 4 |
| 33.40 | 1000 | 1 0 3 |
| 36.43 | 421 | 1 1 0 |
| 43.09 | 102 | 0 0 6 |
| 46.78 | 117 | 1 1 4 |
| 52.46 | 144 | 2 0 0 |
| 57.66 | 266 | 1 1 6 |
| 63.63 | 296 | 2 1 3 |

abc: 3.4883 3.4883 12.5949
angles: 90.00 90.00 90.00
Space group I4mm (No. 107)
Symmetry-distinct sites (fractional):
1 La 0.0000 0.0000 0.0000
2 Mg 0.0000 0.0000 0.7069
3 Ag 0.0000 0.0000 0.3231

---

Entry 5:
The following is a calculated powder XRD pattern of Sn2Pb13. It was derived from the GGA-PBE geometry in Alexandria, using λ = 1.5418 Å (Cu Kα).

The 10 most intense peaks (10 to 90 degrees two-theta), in order of rising 2θ:
| 2theta | intensity | index |
| --- | --- | --- |
| 30.11 | 1000 | 2 1 2 |
| 30.32 | 975 | 1 1 -2 |
| 32.64 | 823 | -2 1 1 |
| 32.89 | 803 | 1 3 1 |
| 33.22 | 782 | 1 -2 1 |
| 33.62 | 756 | 0 2 3 |
| 42.20 | 402 | 3 2 0 |
| 44.30 | 354 | 1 0 4 |
| 55.01 | 558 | 3 4 3 |
| 56.44 | 347 | 2 3 5 |

abc: 7.0037 8.2657 8.8796
angles: 70.36 80.09 75.49
Space group P-1 (No. 2)
Symmetry-distinct sites (fractional):
1 Sn 0.1362 0.2982 0.4632
2 Pb 0.0000 0.5000 0.0000
3 Pb 0.0691 0.9031 0.7232
4 Pb 0.1930 0.6924 0.2120
5 Pb 0.2606 0.0969 0.9426
6 Pb 0.3197 0.4984 0.6614
7 Pb 0.4115 0.8992 0.3964
8 Pb 0.4690 0.3007 0.1340

---

Entry 6:
The following is a calculated powder XRD pattern of Ba6AgPd. It was derived from the GGA-PBE geometry in Alexandria, using λ = 1.5418 Å (Cu Kα).

The 10 most intense peaks (10 to 90 degrees two-theta), in order of rising 2θ:
| 2theta | intensity | index |
| --- | --- | --- |
| 17.20 | 148 | 1 0 2 |
| 23.09 | 140 | 0 0 4 |
| 25.06 | 1000 | 1 1 2 |
| 32.25 | 428 | 2 -1 4 |
| 38.95 | 336 | 3 0 0 |
| 41.79 | 251 | 1 1 6 |
| 45.77 | 130 | 3 0 4 |
| 46.88 | 177 | 4 -2 2 |
| 62.54 | 147 | 4 1 2 |
| 62.80 | 159 | 3 0 8 |

abc: 8.0092 8.0092 15.4057
angles: 90.00 90.00 120.00
Space group P-31c (No. 163)
Symmetry-distinct sites (fractional):
1 Ba 0.0029 0.3252 0.1215
2 Ag 0.3333 0.6667 0.7500
3 Pd 0.0000 0.0000 0.0000

---

Entry 7:
The following is a calculated powder XRD pattern of TeAuNF. It was derived from the GGA-PBE geometry in Alexandria, using λ = 1.5418 Å (Cu Kα).

The 10 most intense peaks (10 to 90 degrees two-theta), in order of rising 2θ:
| 2theta | intensity | index |
| --- | --- | --- |
| 12.39 | 208 | 0 0 1 |
| 24.93 | 642 | 0 0 2 |
| 27.65 | 635 | 1 0 0 |
| 28.67 | 244 | 1 0 -1 |
| 30.26 | 1000 | 0 1 1 |
| 40.14 | 393 | 1 1 -1 |
| 40.29 | 225 | 1 0 2 |
| 42.72 | 320 | 1 1 1 |
| 47.36 | 294 | 0 1 3 |
| 58.78 | 192 | 1 1 3 |

abc: 3.2606 3.2440 7.2180
angles: 90.00 98.32 90.00
Space group Pm (No. 6)
Symmetry-distinct sites (fractional):
1 Te 0.0000 0.0000 0.0000
2 Au 0.1471 0.5000 0.4549
3 N 0.0316 0.5000 0.1744
4 F 0.2672 0.5000 0.7456

---

Entry 8:
The following is a calculated powder XRD pattern of Cs3Rb3Au. It was derived from the GGA-PBE geometry in Alexandria, using λ = 1.5418 Å (Cu Kα).

The 10 most intense peaks (10 to 90 degrees two-theta), in order of rising 2θ:
| 2theta | intensity | index |
| --- | --- | --- |
| 10.86 | 609 | 0 1 1 |
| 12.08 | 303 | 2 1 0 |
| 18.92 | 1000 | 0 0 2 |
| 19.50 | 547 | 3 2 0 |
| 21.63 | 634 | 0 4 0 |
| 24.26 | 287 | 4 1 1 |
| 27.28 | 285 | 3 2 2 |
| 28.89 | 620 | 0 4 2 |
| 33.74 | 331 | 1 5 2 |
| 43.44 | 395 | 5 5 2 |

abc: 16.4050 16.4620 9.3812
angles: 90.00 90.00 90.00
Space group Pnnm (No. 58)
Symmetry-distinct sites (fractional):
1 Cs 0.0963 0.1710 0.0000
2 Cs 0.1007 0.5996 0.0000
3 Cs 0.1716 0.9015 0.5000
4 Rb 0.0987 0.6024 0.5000
5 Rb 0.1058 0.2016 0.5000
6 Rb 0.2072 0.8960 0.0000
7 Au 0.1147 0.3843 0.0000

---

Please write out number 8 again, unchanged.
The following is a calculated powder XRD pattern of Cs3Rb3Au. It was derived from the GGA-PBE geometry in Alexandria, using λ = 1.5418 Å (Cu Kα).

The 10 most intense peaks (10 to 90 degrees two-theta), in order of rising 2θ:
| 2theta | intensity | index |
| --- | --- | --- |
| 10.86 | 609 | 0 1 1 |
| 12.08 | 303 | 2 1 0 |
| 18.92 | 1000 | 0 0 2 |
| 19.50 | 547 | 3 2 0 |
| 21.63 | 634 | 0 4 0 |
| 24.26 | 287 | 4 1 1 |
| 27.28 | 285 | 3 2 2 |
| 28.89 | 620 | 0 4 2 |
| 33.74 | 331 | 1 5 2 |
| 43.44 | 395 | 5 5 2 |

abc: 16.4050 16.4620 9.3812
angles: 90.00 90.00 90.00
Space group Pnnm (No. 58)
Symmetry-distinct sites (fractional):
1 Cs 0.0963 0.1710 0.0000
2 Cs 0.1007 0.5996 0.0000
3 Cs 0.1716 0.9015 0.5000
4 Rb 0.0987 0.6024 0.5000
5 Rb 0.1058 0.2016 0.5000
6 Rb 0.2072 0.8960 0.0000
7 Au 0.1147 0.3843 0.0000